No. 1
The following is a theoretical powder XRD pattern of Sc2Zn4Pd3. It was derived from a structure optimized by DFT (PBE), using copper Kα.

Structure:
a = 4.894 Å, b = 4.894 Å, c = 8.471 Å
α = 106.31°, β = 106.31°, γ = 48.29°
Atoms (fractional coordinates):
Sc  0.171  0.171  0.232
Sc  0.829  0.829  0.768
Zn  0.165  0.165  0.893
Zn  0.491  0.491  0.651
Zn  0.509  0.509  0.349
Zn  0.835  0.835  0.107
Pd  0.168  0.168  0.571
Pd  0.500  0.500  0.000
Pd  0.832  0.832  0.429

Most intense lines, 10 to 80 degrees two-theta, sorted by position:
- d 3.479, rel. 7
- d 2.310, rel. 100
- d 2.009, rel. 16
- d 2.002, rel. 16
- d 1.991, rel. 16
- d 1.417, rel. 14
- d 1.412, rel. 14
- d 1.207, rel. 11
- d 1.203, rel. 6
- d 1.201, rel. 6

=====

No. 2
The following is a theoretical powder XRD pattern of PmTmZnGe. It was derived from a structure optimized by DFT (PBE), using copper Kα.

Structure:
a = 4.113 Å, b = 4.203 Å, c = 11.054 Å
α = 90.00°, β = 90.00°, γ = 90.00°
Atoms (fractional coordinates):
Pm  0.000  0.000  0.000
Pm  0.000  0.500  0.500
Tm  0.500  0.000  0.283
Tm  0.500  0.500  0.783
Zn  0.500  0.000  0.574
Zn  0.500  0.500  0.074
Ge  0.000  0.000  0.722
Ge  0.000  0.500  0.222

Most intense lines, 10 to 80 degrees two-theta, sorted by position:
- d 3.300, rel. 28
- d 2.841, rel. 100
- d 2.768, rel. 71
- d 2.297, rel. 68
- d 2.102, rel. 23
- d 2.057, rel. 22
- d 1.651, rel. 30
- d 1.478, rel. 15
- d 1.470, rel. 15
- d 1.200, rel. 15

=====

No. 3
The following is a theoretical powder XRD pattern of Na2MgCd3In4. It was derived from a structure optimized by DFT (PBE), using copper Kα.

Structure:
a = 4.461 Å, b = 4.461 Å, c = 13.676 Å
α = 90.00°, β = 90.00°, γ = 90.00°
Atoms (fractional coordinates):
Na  0.000  0.500  0.244
Na  0.500  0.000  0.756
Mg  0.500  0.500  0.000
Cd  0.000  0.000  0.000
Cd  0.000  0.500  0.650
Cd  0.500  0.000  0.350
In  0.000  0.000  0.500
In  0.000  0.500  0.854
In  0.500  0.000  0.146
In  0.500  0.500  0.500

Most intense lines, 10 to 80 degrees two-theta, sorted by position:
- d 6.838, rel. 24
- d 4.241, rel. 98
- d 2.864, rel. 100
- d 2.332, rel. 48
- d 2.318, rel. 90
- d 2.230, rel. 62
- d 1.974, rel. 24
- d 1.612, rel. 29
- d 1.594, rel. 25
- d 1.304, rel. 27

=====

No. 4
The following is a theoretical powder XRD pattern of Rb2SrBF6. It was derived from a structure optimized by DFT (PBE), using copper Kα.

Structure:
a = 7.368 Å, b = 7.368 Å, c = 7.368 Å
α = 134.89°, β = 134.89°, γ = 65.70°
Atoms (fractional coordinates):
Rb  0.250  0.750  0.500
Rb  0.750  0.250  0.500
Sr  0.000  0.000  0.000
B  0.500  0.500  0.000
F  0.192  0.192  0.000
F  0.304  0.304  0.609
F  0.304  0.696  0.000
F  0.696  0.304  0.000
F  0.696  0.696  0.391
F  0.808  0.808  0.000

Most intense lines, 10 to 80 degrees two-theta, sorted by position:
- d 5.142, rel. 19
- d 3.358, rel. 100
- d 3.095, rel. 42
- d 2.826, rel. 31
- d 2.571, rel. 22
- d 2.087, rel. 19
- d 1.998, rel. 23
- d 1.833, rel. 25
- d 1.717, rel. 22
- d 1.679, rel. 21

=====

No. 5
The following is a theoretical powder XRD pattern of NdHo2Si4. It was derived from a structure optimized by DFT (PBE), using copper Kα.

Structure:
a = 3.886 Å, b = 4.288 Å, c = 17.542 Å
α = 90.00°, β = 90.00°, γ = 90.00°
Atoms (fractional coordinates):
Nd  0.000  0.000  0.000
Nd  0.500  0.500  0.500
Ho  0.000  0.500  0.317
Ho  0.000  0.500  0.683
Ho  0.500  0.000  0.183
Ho  0.500  0.000  0.817
Si  0.000  0.000  0.433
Si  0.000  0.000  0.567
Si  0.000  0.500  0.151
Si  0.000  0.500  0.849
Si  0.500  0.000  0.349
Si  0.500  0.000  0.651
Si  0.500  0.500  0.067
Si  0.500  0.500  0.933

Most intense lines, 10 to 80 degrees two-theta, sorted by position:
- d 4.165, rel. 29
- d 3.237, rel. 64
- d 2.924, rel. 29
- d 2.736, rel. 100
- d 2.715, rel. 58
- d 2.407, rel. 19
- d 2.144, rel. 24
- d 1.787, rel. 24
- d 1.744, rel. 33
- d 1.580, rel. 22

=====

No. 6
The following is a theoretical powder XRD pattern of ScCrSb2I. It was derived from a structure optimized by DFT (PBE), using copper Kα.

Structure:
a = 5.523 Å, b = 5.523 Å, c = 5.648 Å
α = 90.00°, β = 90.00°, γ = 90.00°
Atoms (fractional coordinates):
Sc  0.000  0.000  0.000
Cr  0.500  0.500  0.500
Sb  0.000  0.500  0.000
Sb  0.500  0.000  0.000
I  0.000  0.000  0.500

Most intense lines, 10 to 80 degrees two-theta, sorted by position:
- d 5.523, rel. 18
- d 3.212, rel. 100
- d 2.824, rel. 27
- d 2.762, rel. 51
- d 1.974, rel. 38
- d 1.953, rel. 18
- d 1.696, rel. 15
- d 1.669, rel. 29
- d 1.606, rel. 19
- d 1.280, rel. 12

=====

No. 7
The following is a theoretical powder XRD pattern of SrDy4ScS8. It was derived from a structure optimized by DFT (PBE), using copper Kα.

Structure:
a = 8.025 Å, b = 8.025 Å, c = 8.025 Å
α = 61.00°, β = 61.00°, γ = 61.00°
Atoms (fractional coordinates):
Sr  0.000  0.000  0.000
Dy  0.115  0.623  0.623
Dy  0.244  0.244  0.244
Dy  0.623  0.115  0.623
Dy  0.623  0.623  0.115
Sc  0.624  0.624  0.624
S  0.378  0.378  0.378
S  0.384  0.384  0.845
S  0.384  0.845  0.384
S  0.417  0.849  0.849
S  0.845  0.384  0.384
S  0.849  0.417  0.849
S  0.849  0.849  0.417
S  0.858  0.858  0.858

Most intense lines, 10 to 80 degrees two-theta, sorted by position:
- d 6.502, rel. 31
- d 4.011, rel. 52
- d 3.471, rel. 100
- d 3.452, rel. 70
- d 3.414, rel. 39
- d 2.858, rel. 46
- d 2.201, rel. 35
- d 2.187, rel. 30
- d 2.036, rel. 61
- d 2.006, rel. 60

=====

No. 8
The following is a theoretical powder XRD pattern of Tb5AlAg. It was derived from a structure optimized by DFT (PBE), using copper Kα.

Structure:
a = 6.332 Å, b = 6.332 Å, c = 10.139 Å
α = 90.61°, β = 90.61°, γ = 89.97°
Atoms (fractional coordinates):
Tb  0.049  0.612  0.330
Tb  0.147  0.853  0.750
Tb  0.244  0.423  0.000
Tb  0.388  0.951  0.170
Tb  0.423  0.244  0.500
Tb  0.577  0.756  0.500
Tb  0.612  0.049  0.830
Tb  0.756  0.577  0.000
Tb  0.853  0.147  0.250
Tb  0.951  0.388  0.670
Al  0.487  0.513  0.750
Al  0.513  0.487  0.250
Ag  0.000  0.000  0.000
Ag  0.000  0.000  0.500

Most intense lines, 10 to 80 degrees two-theta, sorted by position:
- d 3.355, rel. 65
- d 3.331, rel. 24
- d 3.031, rel. 70
- d 2.995, rel. 77
- d 2.968, rel. 24
- d 2.832, rel. 39
- d 2.736, rel. 41
- d 2.721, rel. 100
- d 2.467, rel. 37
- d 1.960, rel. 28